Theoretical X-ray diffraction stick pattern
Compound: Th2BeRh6
Radiation: copper Kα
Structure: a structure optimized by DFT (GGA-PBE)

Lattice parameters (Å, degrees): 8.4342 8.4342 8.4342 90.00 90.00 90.00
Space group Fm-3m (No. 225)
Unique sites:
Th 0.2500 0.2500 0.2500 [8 per cell]
Be 0.0000 0.0000 0.0000 [4 per cell]
Rh 0.0000 0.0000 0.2615 [24 per cell]

Largest 8 diffraction maxima, in order of rising 2θ, 10 to 90 degrees two-theta:
d/Å, 2theta, intensity, index
4.217, 21.07, 13, 2 0 0
2.982, 29.97, 13, 2 2 0
2.435, 36.92, 100, 2 2 2
2.109, 42.89, 50, 4 0 0
1.886, 48.26, 7, 4 2 0
1.491, 62.27, 33, 4 4 0
1.272, 74.65, 37, 6 2 2
1.217, 78.58, 11, 4 4 4

Theoretical X-ray diffraction stick pattern
Compound: Ti2Be2VRh5
Radiation: copper Kα
Structure: a structure optimized by DFT (GGA-PBE)

Lattice parameters (Å, degrees): 9.1735 9.1735 3.1454 90.00 90.00 90.00
Space group P4/mbm (No. 127)
Unique sites:
Ti 0.1736 0.3264 0.0000 [4 per cell]
Be 0.1239 0.6239 0.0000 [4 per cell]
V 0.0000 0.0000 0.0000 [2 per cell]
Rh 0.0000 0.5000 0.5000 [2 per cell]
Rh 0.0713 0.7940 0.5000 [8 per cell]

Largest 8 diffraction maxima, in order of rising 2θ, 10 to 90 degrees two-theta:
d/Å, 2theta, intensity, index
3.145, 28.37, 47, 0 0 1
2.544, 35.28, 31, 3 2 0
2.496, 35.98, 43, 2 1 1
2.225, 40.55, 67, 4 1 0
2.132, 42.39, 100, 3 1 1
2.051, 44.15, 30, 4 2 0
1.978, 45.87, 41, 3 2 1
1.199, 80.00, 28, 7 1 1

Theoretical X-ray diffraction stick pattern
Compound: TmBe9Rh2
Radiation: copper Kα
Structure: a structure optimized by DFT (GGA-PBE)

Lattice parameters (Å, degrees): 4.4559 4.4559 14.2007 90.00 90.00 120.00
Space group P6_3/mmc (No. 194)
Unique sites:
Tm 0.3333 0.6667 0.2500 [2 per cell]
Be 0.0000 0.0000 0.0000 [2 per cell]
Be 0.0000 0.0000 0.2500 [2 per cell]
Be 0.1697 0.3395 0.6176 [12 per cell]
Be 0.3333 0.6667 0.7500 [2 per cell]
Rh 0.3333 0.6667 0.0404 [4 per cell]

Largest 8 diffraction maxima, in order of rising 2θ, 10 to 90 degrees two-theta:
d/Å, 2theta, intensity, index
3.859, 23.05, 53, 1 0 0
3.724, 23.90, 100, 1 0 1
3.550, 25.08, 32, 0 0 4
2.287, 39.39, 89, 1 0 5
2.228, 40.49, 59, 1 1 0
1.887, 48.22, 46, 1 1 4
1.596, 57.77, 25, 2 0 5
1.297, 72.91, 29, 2 1 5

Theoretical X-ray diffraction stick pattern
Compound: BeV3Rh4
Radiation: copper Kα
Structure: a structure optimized by DFT (GGA-PBE)

Lattice parameters (Å, degrees): 2.7781 2.7781 13.4743 90.00 90.00 90.00
Space group P4/mmm (No. 123)
Unique sites:
Be 0.0000 0.0000 0.0000 [1 per cell]
V 0.0000 0.0000 0.2314 [2 per cell]
V 0.0000 0.0000 0.5000 [1 per cell]
Rh 0.5000 0.5000 0.1048 [2 per cell]
Rh 0.5000 0.5000 0.3663 [2 per cell]

Largest 8 diffraction maxima, in order of rising 2θ, 10 to 90 degrees two-theta:
d/Å, 2theta, intensity, index
3.369, 26.46, 18, 0 0 4
2.778, 32.22, 26, 1 0 0
2.363, 38.09, 13, 1 0 3
2.143, 42.16, 100, 1 0 4
1.964, 46.21, 44, 1 1 0
1.389, 67.42, 14, 2 0 0
1.279, 74.16, 11, 1 1 8
1.166, 82.81, 26, 2 1 4